Computed PXRD pattern of LiPr5Dy4 for Cu Kα, 1.54184 Å, from a crystal structure in Alexandria, relaxed with GGA-PBE.
Peak positions follow from Bragg's law for the DFT cell and can differ from measured ones.

Atomic structure:
```
LiPr5Dy4
1.0
3.643 0.000 0.000
0.000 3.643 0.000
0.000 0.000 24.722
Li Pr Dy
1 5 4
Cartesian
0.000 0.000 0.000
1.821 1.821 2.191
1.821 1.821 7.266
1.821 1.821 12.361
1.821 1.821 17.456
1.821 1.821 22.531
0.000 0.000 4.700
0.000 0.000 9.807
0.000 0.000 14.915
0.000 0.000 20.022
```

Main lines, low angle first (2θ = 10–80°):
- 28.44°, intensity 8.2, (1 0 4)
- 30.48°, intensity 100.0, (1 0 5)
- 34.83°, intensity 37.3, (1 1 0)
- 36.34°, intensity 13.0, (0 0 10)
- 50.08°, intensity 13.4, (2 0 0)
- 51.22°, intensity 19.5, (1 1 10)
- 58.05°, intensity 6.6, (1 0 14)
- 59.77°, intensity 29.6, (2 1 5)
- 61.78°, intensity 8.0, (1 0 15)
- 63.43°, intensity 10.3, (2 0 10)